Structure and calculated powder diffractogram of Cd4Hg6Bi (a PBE-relaxed structure; a wavelength of 1.5418 Å).

The 6 most intense peaks (2θ from 10° to 80°), in order of rising 2θ:
3.879 Å, 2θ 22.9, I 70; 3.298 Å, 2θ 27.0, I 73; 2.767 Å, 2θ 32.4, I 100; 2.521 Å, 2θ 35.6, I 89; 2.475 Å, 2θ 36.3, I 46; 2.239 Å, 2θ 40.3, I 52

Cell and atoms:
a = 6.096 Å, b = 7.554 Å, c = 13.544 Å
α = 90.00°, β = 90.00°, γ = 90.00°
Space group I222 (No. 23)
One atom of each set of equivalent atoms:
Cd1 0.169 0.236 0.338
Hg1 0.000 0.000 0.000
Hg2 0.000 0.000 0.500
Hg3 0.151 0.327 0.131
Bi1 0.000 0.500 0.500

=====

Structure and calculated powder diffractogram of Cd4Hg2Bi3 (a PBE-relaxed structure; a wavelength of 1.5418 Å).

The 6 most intense peaks (2θ from 10° to 80°), in order of rising 2θ:
2.879 Å, 2θ 31.1, I 100; 2.859 Å, 2θ 31.3, I 43; 2.695 Å, 2θ 33.2, I 57; 2.601 Å, 2θ 34.5, I 93; 2.276 Å, 2θ 39.6, I 51; 2.249 Å, 2θ 40.1, I 49

Cell and atoms:
a = 14.008 Å, b = 12.391 Å, c = 5.940 Å
α = 90.00°, β = 99.86°, γ = 90.00°
Space group C2/c (No. 15)
One atom of each set of equivalent atoms:
Cd1 0.094 0.217 0.424
Cd2 0.160 0.354 0.900
Hg1 0.232 0.415 0.453
Bi1 0.000 0.452 0.250
Bi2 0.106 0.120 0.932

=====

Structure and calculated powder diffractogram of Cd6Hg5Bi (a PBE-relaxed structure; a wavelength of 1.5418 Å).

The 6 most intense peaks (2θ from 10° to 80°), in order of rising 2θ:
2.660 Å, 2θ 33.7, I 100; 2.648 Å, 2θ 33.8, I 99; 2.599 Å, 2θ 34.5, I 47; 2.345 Å, 2θ 38.4, I 35; 1.741 Å, 2θ 52.6, I 28; 1.406 Å, 2θ 66.5, I 27

Cell and atoms:
a = 9.681 Å, b = 14.069 Å, c = 5.199 Å
α = 90.00°, β = 122.12°, γ = 90.00°
Space group C2/m (No. 12)
One atom of each set of equivalent atoms:
Cd1 0.240 0.000 0.242
Cd2 0.242 0.173 0.743
Hg1 0.000 0.000 0.500
Hg2 0.000 0.167 0.000
Hg3 0.000 0.337 0.500
Bi1 0.000 0.500 0.000

=====

Structure and calculated powder diffractogram of Cd6Hg6Bi (a PBE-relaxed structure; a wavelength of 1.5418 Å).

The 6 most intense peaks (2θ from 10° to 80°), in order of rising 2θ:
3.276 Å, 2θ 27.2, I 37; 3.259 Å, 2θ 27.4, I 58; 2.950 Å, 2θ 30.3, I 45; 2.722 Å, 2θ 32.9, I 100; 2.471 Å, 2θ 36.4, I 46; 2.455 Å, 2θ 36.6, I 38

Cell and atoms:
a = 6.924 Å, b = 9.921 Å, c = 10.453 Å
α = 90.00°, β = 108.90°, γ = 90.00°
Space group C2/m (No. 12)
One atom of each set of equivalent atoms:
Cd1 0.140 0.216 0.265
Cd2 0.195 0.000 0.763
Hg1 0.000 0.168 0.500
Hg2 0.000 0.343 0.000
Hg3 0.047 0.500 0.653
Bi1 0.000 0.000 0.000

=====

Structure and calculated powder diffractogram of Cd4Hg4Bi3 (a PBE-relaxed structure; a wavelength of 1.5418 Å).

The 6 most intense peaks (2θ from 10° to 80°), in order of rising 2θ:
2.939 Å, 2θ 30.4, I 52; 2.871 Å, 2θ 31.2, I 100; 2.512 Å, 2θ 35.7, I 33; 2.292 Å, 2θ 39.3, I 26; 2.268 Å, 2θ 39.7, I 26; 2.260 Å, 2θ 39.9, I 26

Cell and atoms:
a = 3.498 Å, b = 5.232 Å, c = 16.553 Å
α = 97.34°, β = 95.86°, γ = 90.02°
Space group P-1 (No. 2)
One atom of each set of equivalent atoms:
Cd1 0.045 0.484 0.090
Cd2 0.322 0.132 0.635
Hg1 0.228 0.273 0.463
Hg2 0.410 0.099 0.815
Bi1 0.136 0.392 0.274
Bi2 0.500 0.000 0.000

=====

Structure and calculated powder diffractogram of Cd10Hg2Bi (a PBE-relaxed structure; a wavelength of 1.5418 Å).

The 6 most intense peaks (2θ from 10° to 80°), in order of rising 2θ:
2.910 Å, 2θ 30.7, I 32; 2.884 Å, 2θ 31.0, I 100; 2.502 Å, 2θ 35.9, I 31; 2.479 Å, 2θ 36.2, I 39; 2.455 Å, 2θ 36.6, I 38; 2.383 Å, 2θ 37.8, I 55

Cell and atoms:
a = 7.244 Å, b = 13.357 Å, c = 13.606 Å
α = 90.00°, β = 90.00°, γ = 90.00°
Space group Fmmm (No. 69)
One atom of each set of equivalent atoms:
Cd1 0.000 0.112 0.111
Cd2 0.000 0.170 0.331
Cd3 0.250 0.250 0.000
Hg1 0.250 0.000 0.250
Bi1 0.000 0.000 0.500

=====

Structure and calculated powder diffractogram of Cd12HgBi6 (a PBE-relaxed structure; a wavelength of 1.5418 Å).

The 6 most intense peaks (2θ from 10° to 80°), in order of rising 2θ:
3.564 Å, 2θ 25.0, I 50; 2.866 Å, 2θ 31.2, I 52; 2.802 Å, 2θ 31.9, I 100; 2.552 Å, 2θ 35.2, I 86; 2.534 Å, 2θ 35.4, I 53; 2.444 Å, 2θ 36.8, I 88

Cell and atoms:
a = 11.2089 Å, b = 11.2089 Å, c = 14.9985 Å
α = 90.00°, β = 90.00°, γ = 120.00°
Space group R-3 (No. 148, hexagonal axes)
One atom of each set of equivalent atoms:
Cd1 0.0450 0.5317 0.0970
Cd2 0.0733 0.1796 0.8278
Hg1 0.0000 0.0000 0.0000
Bi1 0.0202 0.5188 0.3080

=====

Structure and calculated powder diffractogram of Cd12Hg6Bi (a PBE-relaxed structure; a wavelength of 1.5418 Å).

The 6 most intense peaks (2θ from 10° to 80°), in order of rising 2θ:
3.305 Å, 2θ 27.0, I 52; 3.104 Å, 2θ 28.8, I 31; 2.953 Å, 2θ 30.3, I 45; 2.587 Å, 2θ 34.7, I 56; 2.365 Å, 2θ 38.0, I 49; 2.314 Å, 2θ 38.9, I 100

Cell and atoms:
a = 10.3310 Å, b = 10.3310 Å, c = 15.6452 Å
α = 90.00°, β = 90.00°, γ = 120.00°
Space group R-3 (No. 148, hexagonal axes)
One atom of each set of equivalent atoms:
Cd1 0.0281 0.1858 0.4164
Cd2 0.0277 0.7238 0.0581
Hg1 0.0326 0.1846 0.7740
Bi1 0.0000 0.0000 0.0000

=====

Structure and calculated powder diffractogram of Cd2In4Hg3Bi2 (a PBE-relaxed structure; a wavelength of 1.5418 Å).

The 6 most intense peaks (2θ from 10° to 80°), in order of rising 2θ:
3.272 Å, 2θ 27.3, I 30; 2.835 Å, 2θ 31.6, I 81; 2.497 Å, 2θ 36.0, I 100; 2.467 Å, 2θ 36.4, I 37; 1.874 Å, 2θ 48.6, I 25; 1.499 Å, 2θ 61.9, I 24

Cell and atoms:
a = 4.9944 Å, b = 4.9944 Å, c = 15.0139 Å
α = 90.00°, β = 90.00°, γ = 120.00°
Space group P-3m1 (No. 164)
One atom of each set of equivalent atoms:
Cd1 0.3333 0.6667 0.1523
In1 0.3333 0.6667 0.3531
In2 0.3333 0.6667 0.9197
Hg1 0.0000 0.0000 0.0000
Hg2 0.0000 0.0000 0.2468
Bi1 0.3333 0.6667 0.5780

=====

Structure and calculated powder diffractogram of CdIn2Hg7Bi2 (a PBE-relaxed structure; a wavelength of 1.5418 Å).

The 6 most intense peaks (2θ from 10° to 80°), in order of rising 2θ:
3.442 Å, 2θ 25.9, I 28; 2.963 Å, 2θ 30.2, I 100; 2.923 Å, 2θ 30.6, I 42; 2.712 Å, 2θ 33.0, I 48; 2.082 Å, 2θ 43.5, I 51; 2.000 Å, 2θ 45.3, I 41

Cell and atoms:
a = 5.926 Å, b = 23.382 Å, c = 6.122 Å
α = 90.00°, β = 90.00°, γ = 90.00°
Space group Imm2 (No. 44)
One atom of each set of equivalent atoms:
Cd1 0.000 0.000 0.000
In1 0.000 0.376 0.728
Hg1 0.000 0.126 0.199
Hg2 0.000 0.268 0.343
Hg3 0.000 0.401 0.201
Hg4 0.000 0.500 0.524
Bi1 0.000 0.248 0.848

=====

Structure and calculated powder diffractogram of Cd4In2HgBi (a PBE-relaxed structure; a wavelength of 1.5418 Å).

The 6 most intense peaks (2θ from 10° to 80°), in order of rising 2θ:
2.911 Å, 2θ 30.7, I 100; 2.899 Å, 2θ 30.8, I 82; 2.830 Å, 2θ 31.6, I 76; 2.801 Å, 2θ 31.9, I 49; 2.425 Å, 2θ 37.1, I 73; 2.250 Å, 2θ 40.1, I 38

Cell and atoms:
a = 6.121 Å, b = 6.139 Å, c = 6.253 Å
α = 103.07°, β = 103.40°, γ = 104.66°
Space group P1 (No. 1)
One atom of each set of equivalent atoms:
Cd1 0.000 0.000 0.000
Cd2 0.168 0.799 0.394
Cd3 0.357 0.466 0.052
Cd4 0.759 0.403 0.401
In1 0.276 0.354 0.529
In2 0.716 0.919 0.473
Hg1 0.834 0.462 0.905
Bi1 0.473 0.944 0.925

=====

Structure and calculated powder diffractogram of Cd3In4Hg2Bi2 (a PBE-relaxed structure; a wavelength of 1.5418 Å).

The 6 most intense peaks (2θ from 10° to 80°), in order of rising 2θ:
3.275 Å, 2θ 27.2, I 35; 2.855 Å, 2θ 31.3, I 58; 2.496 Å, 2θ 36.0, I 65; 2.452 Å, 2θ 36.6, I 100; 1.749 Å, 2θ 52.3, I 22; 1.424 Å, 2θ 65.6, I 23

Cell and atoms:
a = 4.9042 Å, b = 4.9042 Å, c = 15.4273 Å
α = 90.00°, β = 90.00°, γ = 120.00°
Space group P-3m1 (No. 164)
One atom of each set of equivalent atoms:
Cd1 0.0000 0.0000 0.0000
Cd2 0.0000 0.0000 0.2454
In1 0.3333 0.6667 0.3504
In2 0.3333 0.6667 0.9202
Hg1 0.3333 0.6667 0.1550
Bi1 0.3333 0.6667 0.5773

=====

Structure and calculated powder diffractogram of Cd2In2Hg2Bi (a PBE-relaxed structure; a wavelength of 1.5418 Å).

The 6 most intense peaks (2θ from 10° to 80°), in order of rising 2θ:
2.722 Å, 2θ 32.9, I 100; 2.590 Å, 2θ 34.6, I 91; 2.497 Å, 2θ 36.0, I 35; 2.223 Å, 2θ 40.6, I 30; 2.207 Å, 2θ 40.9, I 30; 1.654 Å, 2θ 55.6, I 20

Cell and atoms:
a = 9.880 Å, b = 4.415 Å, c = 10.018 Å
α = 90.00°, β = 115.86°, γ = 90.00°
Space group C2/m (No. 12)
One atom of each set of equivalent atoms:
Cd1 0.240 0.000 0.363
In1 0.246 0.500 0.122
Hg1 0.005 0.500 0.780
Bi1 0.000 0.000 0.500